[1]
For Fe3Co4, a GGA-PBE-relaxed structure gives the simulated X-ray diffraction stick pattern in this record (Cu Kα X-rays).
No peak broadening, texture or thermal motion is included.

Largest 6 diffraction maxima, low angle first, 10° ≤ 2θ ≤ 90°:
2θ (°), Rel. int.
45.16, 100.0
45.44, 49.1
65.32, 7.5
66.22, 14.4
83.16, 14.4
83.78, 28.3

Structure:
```
Fe3Co4
1.0
-1.4113 1.4113 9.9995
1.4113 -1.4113 9.9995
1.4113 1.4113 -9.9995
Fe Co
3 4
Direct
0.0000 0.0000 0.0000
0.1435 0.1435 0.0000
0.4267 0.4267 0.0000
0.2852 0.2852 0.0000
0.5717 0.5717 0.0000
0.7127 0.7127 0.0000
0.8565 0.8565 0.0000
```

***

[2]
For YIr4, a GGA-PBE-relaxed structure gives the simulated X-ray diffraction stick pattern in this record (Cu Kα X-rays).
No peak broadening, texture or thermal motion is included.

Largest 10 diffraction maxima, low angle first, 10° ≤ 2θ ≤ 90°:
2θ (°), Rel. int.
19.45, 11.3
38.49, 100.0
44.37, 31.4
45.46, 15.7
56.32, 4.5
64.56, 10.8
65.41, 19.9
77.74, 21.8
79.31, 12.5
82.48, 11.1

Structure:
```
YIr4
1.0
-3.2278 3.2278 1.9950
3.2278 -3.2278 1.9950
3.2278 3.2278 -1.9950
Y Ir
1 4
Direct
0.0000 0.0000 0.0000
0.1795 0.5987 0.7781
0.4013 0.1795 0.5808
0.5987 0.8205 0.4192
0.8205 0.4013 0.2219
```

***

[3]
For PmEr2TiN4, a GGA-PBE-relaxed structure gives the simulated X-ray diffraction stick pattern in this record (Cu Kα X-rays).
No peak broadening, texture or thermal motion is included.

Largest 10 diffraction maxima, low angle first, 10° ≤ 2θ ≤ 90°:
2θ (°), Rel. int.
27.34, 69.6
30.32, 39.1
30.56, 49.2
31.39, 100.0
35.92, 34.0
38.35, 65.2
43.58, 22.9
47.61, 26.7
49.81, 26.0
52.79, 26.1

Structure:
```
PmEr2TiN4
1.0
1.6946 -5.8515 0.0000
1.6946 5.8515 0.0000
0.0000 0.0000 11.7921
Pm Er Ti N
2 4 2 8
Direct
0.0985 0.9015 0.7500
0.9015 0.0985 0.2500
0.3705 0.6295 0.5389
0.3705 0.6295 0.9611
0.6295 0.3705 0.0389
0.6295 0.3705 0.4611
0.1644 0.8356 0.2500
0.8356 0.1644 0.7500
0.0000 0.0000 0.0000
0.0000 0.0000 0.5000
0.2623 0.7377 0.1228
0.2623 0.7377 0.3772
0.4335 0.5665 0.7500
0.5665 0.4335 0.2500
0.7377 0.2623 0.6228
0.7377 0.2623 0.8772
```

***

[4]
For BaPm5Se8, a GGA-PBE-relaxed structure gives the simulated X-ray diffraction stick pattern in this record (Cu Kα X-rays).
No peak broadening, texture or thermal motion is included.

Largest 10 diffraction maxima, low angle first, 10° ≤ 2θ ≤ 90°:
2θ (°), Rel. int.
12.32, 17.0
20.18, 26.1
23.71, 88.6
28.69, 53.4
37.55, 55.1
41.02, 100.0
56.82, 21.3
64.88, 15.7
74.73, 29.2
79.69, 16.7

Structure:
```
BaPm5Se8
1.0
0.0000 6.2231 6.2231
6.2231 0.0000 6.2231
6.2231 6.2231 0.0000
Ba Pm Se
1 5 8
Direct
0.0000 0.0000 0.0000
0.1203 0.6266 0.6266
0.2500 0.2500 0.2500
0.6266 0.1203 0.6266
0.6266 0.6266 0.1203
0.6266 0.6266 0.6266
0.3824 0.3824 0.3824
0.3824 0.3824 0.8529
0.3824 0.8529 0.3824
0.4229 0.8590 0.8590
0.8529 0.3824 0.3824
0.8590 0.4229 0.8590
0.8590 0.8590 0.4229
0.8590 0.8590 0.8590
```